Structure and theoretical X-ray diffraction stick pattern of MnReGeO6 (a crystal structure in Alexandria, relaxed with PBE+U; Cu Ka).

```
MnReGeO6
1.0
5.0917 0.0000 0.0000
-2.5458 4.4095 0.0000
0.0000 0.0000 9.3190
Mn Re Ge O
2 2 2 12
Cartesian
0.0000 0.0000 0.0000
0.0000 0.0000 4.6595
0.0000 2.9397 2.3298
2.5458 1.4698 6.9893
0.0000 2.9397 6.9893
2.5458 1.4698 2.3298
-0.9191 1.5963 5.9457
-1.6229 2.8155 8.0329
1.8420 0.0022 1.2862
0.9229 1.5941 3.3734
0.9191 1.5963 8.0329
-0.7039 4.4073 5.9457
3.2497 0.0022 3.3734
1.6268 2.8132 1.2862
1.6229 2.8155 5.9457
0.7039 4.4073 8.0329
4.1688 1.5941 1.2862
3.4649 2.8132 3.3734
```

Peak list (10 most intense, 2θ = 10–80°, by intensity)
hkl  2θ/deg  intensity
1 0 2  27.86  100
1 1 0  35.27  67
1 1 4  53.31  62
0 0 2  19.05  57
1 1 2  40.37  47
1 0 1  22.30  41
3 0 0  63.28  25
2 0 2  45.51  24
2 1 2  58.85  23
1 0 0  20.14  21